Calculated powder diffraction line list of LaDyNiGe for Cu Kα, from a cell relaxed with PBE.
Peak positions follow from Bragg's law for the DFT cell and can differ from measured ones.

Main lines, in order of rising 2θ (2θ = 15–90°):
| 2θ/deg | Rel. int. | hkl |
| --- | --- | --- |
| 24.85 | 16 | 2 0 0 |
| 35.44 | 100 | 2 2 0 |
| 43.77 | 5 | 2 2 2 |
| 50.98 | 18 | 4 0 0 |
| 57.53 | 7 | 4 2 0 |
| 63.62 | 36 | 4 2 2 |
| 74.99 | 11 | 4 4 0 |
| 85.77 | 16 | 6 2 0 |

Lattice parameters (Å, degrees): 7.1648 7.1648 7.1648 90.00 90.00 90.00
Fractional positions:
1 La 0.0000 0.0000 0.0000
2 La 0.0000 0.5000 0.5000
3 La 0.5000 0.0000 0.5000
4 La 0.5000 0.5000 0.0000
5 Dy 0.0000 0.0000 0.5000
6 Dy 0.0000 0.5000 0.0000
7 Dy 0.5000 0.0000 0.0000
8 Dy 0.5000 0.5000 0.5000
9 Ni 0.2500 0.2500 0.7500
10 Ni 0.2500 0.7500 0.2500
11 Ni 0.7500 0.2500 0.2500
12 Ni 0.7500 0.7500 0.7500
13 Ge 0.2500 0.2500 0.2500
14 Ge 0.2500 0.7500 0.7500
15 Ge 0.7500 0.2500 0.7500
16 Ge 0.7500 0.7500 0.2500